(1)
For KNa15Cd4, a PBE-relaxed structure gives the computed powder XRD pattern in this record (Cu Kα, 1.54184 Å).
No peak broadening, texture or thermal motion is included.

Crystal structure
```
data_KNa15Cd4
_chemical_formula_sum 'K1 Na15 Cd4'
_space_group_name_H-M_alt 'P 4/m m m'
_space_group_IT_number 123
_space_group_name_Hall '-P 4 2'
_cell_length_a 5.093
_cell_length_b 5.093
_cell_length_c 25.169
_cell_angle_alpha 90.00
_cell_angle_beta 90.00
_cell_angle_gamma 90.00
loop_
_atom_site_label
_atom_site_type_symbol
_atom_site_fract_x
_atom_site_fract_y
_atom_site_fract_z
K1 K 0.000 0.000 0.000
Na1 Na 0.000 0.500 0.124
Na2 Na 0.000 0.500 0.311
Na3 Na 0.000 0.500 0.500
Na4 Na 0.500 0.500 0.000
Na5 Na 0.500 0.500 0.217
Na6 Na 0.500 0.500 0.405
Cd1 Cd 0.000 0.000 0.216
Cd2 Cd 0.000 0.000 0.405
```

Largest 10 diffraction maxima, by angle, 2θ = 15–90°:
2theta, intensity
17.41, 43
17.62, 20
24.72, 19
24.87, 33
30.52, 100
32.77, 18
35.24, 41
39.61, 21
43.61, 14
60.34, 26

(2)
For Nd5TmCu6, a PBE-relaxed structure gives the computed powder XRD pattern in this record (Cu Kα, 1.54184 Å).
No peak broadening, texture or thermal motion is included.

Crystal structure
```
data_Nd5TmCu6
_chemical_formula_sum 'Nd10 Tm2 Cu12'
_space_group_name_H-M_alt 'C 1 2/m 1'
_space_group_IT_number 12
_cell_length_a 15.986
_cell_length_b 7.089
_cell_length_c 5.050
_cell_angle_alpha 90.00
_cell_angle_beta 108.31
_cell_angle_gamma 90.00
loop_
_space_group_symop_operation_xyz
'x,y,z'
'-x,-y,-z'
'-x,y,-z'
'x,-y,z'
'x+1/2,y+1/2,z'
'-x+1/2,-y+1/2,-z'
'-x+1/2,y+1/2,-z'
'x+1/2,-y+1/2,z'
loop_
_atom_site_label
_atom_site_type_symbol
_atom_site_fract_x
_atom_site_fract_y
_atom_site_fract_z
Nd1 Nd 0.000 0.000 0.000
Nd2 Nd 0.166 0.000 0.666
Nd3 Nd 0.168 0.500 0.666
Tm1 Tm 0.000 0.500 0.000
Cu1 Cu 0.000 0.270 0.500
Cu2 Cu 0.160 0.261 0.158
```

Largest 10 diffraction maxima, by angle, 2θ = 15–90°:
2theta, intensity
24.91, 17
25.12, 8
35.52, 51
35.67, 100
51.06, 9
51.17, 9
63.86, 26
63.97, 9
64.18, 17
75.56, 10

(3)
For Cs3La3ZrSe8, a PBE-relaxed structure gives the computed powder XRD pattern in this record (Cu Kα, 1.54184 Å).
No peak broadening, texture or thermal motion is included.

Crystal structure
```
data_Cs3La3ZrSe8
_chemical_formula_sum 'Cs9 La9 Zr3 Se24'
_space_group_name_H-M_alt 'R -3 m'
_space_group_IT_number 166
_space_group_name_Hall '-R 3 2"'
_cell_length_a 8.6950
_cell_length_b 8.6950
_cell_length_c 25.6088
_cell_angle_alpha 90.00
_cell_angle_beta 90.00
_cell_angle_gamma 120.00
loop_
_atom_site_label
_atom_site_type_symbol
_atom_site_fract_x
_atom_site_fract_y
_atom_site_fract_z
Cs1 Cs 0.0000 0.5000 0.0000
La1 La 0.0000 0.5000 0.5000
Zr1 Zr 0.0000 0.0000 0.5000
Se1 Se 0.0000 0.0000 0.2308
Se2 Se 0.0276 0.5138 0.2266
```

Largest 10 diffraction maxima, by angle, 2θ = 15–90°:
2theta, intensity
27.48, 100
34.17, 11
36.86, 30
41.54, 36
42.70, 9
50.54, 17
55.88, 9
56.73, 8
67.42, 14
80.72, 9